# 1
Structure and calculated powder XRD pattern of Sr2CaTi3O9 (DFT lattice parameters and positions (PBE); Cu Kα, 1.54184 Å).

Main lines, sorted by position (2θ = 5–70°):
index, Position (°2θ), d [Å], intensity
0 0 2, 32.1, 2.787, 97
1 6 -1, 32.2, 2.778, 100
1 6 1, 32.4, 2.765, 94
0 6 2, 39.8, 2.267, 48
2 0 -2, 45.8, 1.980, 40
2 0 2, 46.3, 1.961, 40
0 12 0, 46.6, 1.949, 39
3 6 -1, 57.3, 1.608, 21
3 6 1, 57.6, 1.600, 20
0 12 2, 57.7, 1.597, 39
2 12 -2, 67.4, 1.389, 20
2 12 2, 67.8, 1.382, 21

Crystal structure
Cell lengths 5.5659, 23.3903, 5.5813 Å; angles 90.00, 90.57, 90.00 degrees
Element x y z (fractional)
1 Sr 0.0000 0.0000 0.0000
2 Sr 0.4917 0.1672 0.4850
3 Sr 0.4917 0.8328 0.4850
4 Sr 0.4963 0.3342 0.5051
5 Sr 0.4963 0.6658 0.5051
6 Sr 0.4976 0.0000 0.5047
7 Sr 0.9988 0.3328 0.0033
8 Sr 0.9988 0.6672 0.0033
9 Ca 0.0017 0.1669 0.9654
10 Ca 0.0021 0.5000 0.9555
11 Ca 0.0017 0.8331 0.9654
12 Ca 0.4916 0.5000 0.4548
13 Ti 0.5012 0.2504 0.9889
14 Ti 0.5012 0.7496 0.9889
15 Ti 0.5022 0.0840 0.9887
16 Ti 0.5022 0.9160 0.9887
17 Ti 0.5041 0.4185 0.9809
18 Ti 0.5041 0.5815 0.9809
19 Ti 0.9921 0.4192 0.4791
20 Ti 0.9921 0.5808 0.4791
21 Ti 0.9956 0.0847 0.4843
22 Ti 0.9960 0.2499 0.4863
23 Ti 0.9960 0.7501 0.4863
24 Ti 0.9956 0.9153 0.4843
25 O 0.0326 0.0000 0.4916
26 O 0.0360 0.3342 0.4950
27 O 0.0360 0.6658 0.4950
28 O 0.2067 0.4304 0.2279
29 O 0.2067 0.5696 0.2279
30 O 0.2120 0.0955 0.2344
31 O 0.2120 0.9045 0.2344
32 O 0.2155 0.2390 0.2380
33 O 0.2155 0.7610 0.2380
34 O 0.2511 0.2436 0.7467
35 O 0.2511 0.7564 0.7467
36 O 0.2552 0.0898 0.7429
37 O 0.2552 0.9102 0.7429
38 O 0.2739 0.4280 0.7277
39 O 0.2739 0.5720 0.7277
40 O 0.4495 0.3345 0.0135
41 O 0.4495 0.6655 0.0135
42 O 0.4523 0.0000 0.0201
43 O 0.5484 0.1671 0.0010
44 O 0.5484 0.8329 0.0010
45 O 0.5592 0.5000 0.0197
46 O 0.7120 0.4115 0.2882
47 O 0.7120 0.5885 0.2882
48 O 0.7182 0.0788 0.2793
49 O 0.7182 0.9212 0.2793
50 O 0.7215 0.2561 0.2756
51 O 0.7215 0.7439 0.2756
52 O 0.7507 0.2590 0.7719
53 O 0.7507 0.7410 0.7719
54 O 0.7544 0.0750 0.7756
55 O 0.7544 0.9250 0.7756
56 O 0.7690 0.4087 0.7869
57 O 0.7690 0.5913 0.7869
58 O 0.9258 0.5000 0.5317
59 O 0.9476 0.1671 0.5345
60 O 0.9476 0.8329 0.5345



# 2
Structure and calculated powder XRD pattern of Sr2CaTi3O9 (DFT lattice parameters and positions (PBE); Cu Kα, 1.54184 Å).

Main lines, sorted by position (2θ = 5–70°):
index, Position (°2θ), d [Å], intensity
2 0 0, 32.0, 2.799, 35
1 3 0, 32.1, 2.787, 100
1 1 -4, 32.4, 2.767, 64
2 2 -2, 39.6, 2.275, 16
0 4 2, 39.7, 2.269, 16
2 2 4, 45.6, 1.990, 27
-2 2 4, 46.3, 1.961, 27
0 4 -4, 46.5, 1.952, 28
1 5 4, 57.1, 1.613, 13
2 4 -4, 57.6, 1.601, 39
2 6 0, 67.2, 1.394, 14
2 2 -8, 67.7, 1.383, 15

Crystal structure
Cell lengths 5.5988, 9.5961, 13.6142 Å; angles 89.48, 89.30, 89.50 degrees
Element x y z (fractional)
1 Sr 0.0000 0.0000 0.0000
2 Sr 0.9998 0.3333 0.3322
3 Sr 0.0009 0.6664 0.6664
4 Sr 0.4796 0.4982 0.9977
5 Sr 0.4818 0.8301 0.3300
6 Sr 0.4955 0.1626 0.1623
7 Sr 0.4963 0.4952 0.4962
8 Sr 0.4961 0.8298 0.8282
9 Ca 0.0082 0.3402 0.8400
10 Ca 0.0120 0.6729 0.1721
11 Ca 0.0164 0.0066 0.5066
12 Ca 0.5034 0.1606 0.6600
13 Ti 0.4945 0.1657 0.9120
14 Ti 0.4944 0.4950 0.7476
15 Ti 0.4965 0.4981 0.2477
16 Ti 0.4965 0.8314 0.0805
17 Ti 0.4995 0.8317 0.5813
18 Ti 0.4998 0.1645 0.4153
19 Ti 0.9913 0.3358 0.0827
20 Ti 0.9910 0.6666 0.9176
21 Ti 0.9915 0.0042 0.7490
22 Ti 0.9921 0.3308 0.5856
23 Ti 0.9919 0.6693 0.4168
24 Ti 0.9918 0.9989 0.2520
25 O 0.1782 0.4029 0.6834
26 O 0.1785 0.1104 0.8294
27 O 0.1860 0.4410 0.1623
28 O 0.1863 0.7367 0.0145
29 O 0.1891 0.0679 0.3488
30 O 0.1892 0.7761 0.4948
31 O 0.2380 0.5984 0.8335
32 O 0.2386 0.2464 0.0092
33 O 0.2388 0.5799 0.3418
34 O 0.2390 0.9287 0.1669
35 O 0.2421 0.9187 0.6747
36 O 0.2432 0.2601 0.5046
37 O 0.4526 0.3184 0.3192
38 O 0.4542 0.6512 0.6513
39 O 0.4560 0.9855 0.9837
40 O 0.4624 0.3435 0.8427
41 O 0.4709 0.6734 0.1735
42 O 0.4791 0.0110 0.5110
43 O 0.6787 0.0828 0.8109
44 O 0.6786 0.3885 0.6581
45 O 0.6906 0.4107 0.1511
46 O 0.6908 0.7306 0.9910
47 O 0.6930 0.0632 0.3256
48 O 0.6931 0.7464 0.4838
49 O 0.7393 0.5581 0.3275
50 O 0.7388 0.9170 0.1479
51 O 0.7404 0.2248 0.9912
52 O 0.7403 0.5809 0.8131
53 O 0.7422 0.8885 0.6612
54 O 0.7433 0.2526 0.4793
55 O 0.9435 0.1463 0.6460
56 O 0.9590 0.4823 0.9817
57 O 0.9592 0.8138 0.3139
58 O 0.9712 0.8440 0.8415
59 O 0.9743 0.1743 0.1750
60 O 0.9749 0.5085 0.5096



# 3
Structure and calculated powder XRD pattern of SrCaTiO2 (DFT lattice parameters and positions (PBE); Cu Kα, 1.54184 Å).

Main lines, sorted by position (2θ = 5–70°):
index, Position (°2θ), d [Å], intensity
0 0 1, 16.1, 5.514, 28
1 0 0, 19.8, 4.475, 74
1 1 0, 28.2, 3.165, 94
0 0 2, 32.5, 2.757, 70
1 1 1, 32.6, 2.745, 100
1 0 2, 38.3, 2.347, 27
2 0 0, 40.3, 2.238, 74
1 1 2, 43.5, 2.079, 57
2 0 2, 52.7, 1.737, 63
2 1 2, 56.8, 1.620, 17
2 2 0, 58.3, 1.582, 23
2 2 2, 68.4, 1.372, 47

Crystal structure
Cell lengths 4.4753, 4.4753, 5.5145 Å; angles 90.00, 90.00, 90.00 degrees
Element x y z (fractional)
1 Sr 0.0000 0.0000 0.0000
2 Ca 0.0000 0.0000 0.5000
3 Ti 0.5000 0.5000 0.0000
4 O 0.0000 0.5000 0.5000
5 O 0.5000 0.0000 0.5000



# 4
Structure and calculated powder XRD pattern of Sr2CaTi3O9 (DFT lattice parameters and positions (PBE); Cu Kα, 1.54184 Å).

Main lines, sorted by position (2θ = 5–70°):
index, Position (°2θ), d [Å], intensity
0 0 1, 7.5, 11.774, 7
0 0 2, 15.0, 5.887, 2
1 0 1, 23.9, 3.724, 3
1 0 2, 27.3, 3.266, 3
1 1 0, 32.2, 2.776, 100
1 1 1, 33.2, 2.702, 1
1 1 2, 35.8, 2.511, 1
0 0 5, 38.2, 2.355, 1
1 1 3, 39.8, 2.266, 19
2 0 0, 46.3, 1.963, 45
2 1 3, 57.5, 1.603, 37
2 2 0, 67.5, 1.388, 25

Crystal structure
Cell lengths 3.9259, 3.9259, 11.7745 Å; angles 90.00, 90.00, 90.00 degrees
Element x y z (fractional)
1 Sr 0.0000 0.0000 0.1682
2 Sr 0.0000 0.0000 0.8318
3 Ca 0.0000 0.0000 0.5000
4 Ti 0.5000 0.5000 0.0000
5 Ti 0.5000 0.5000 0.3362
6 Ti 0.5000 0.5000 0.6638
7 O 0.0000 0.5000 0.0000
8 O 0.0000 0.5000 0.3378
9 O 0.0000 0.5000 0.6622
10 O 0.5000 0.0000 0.0000
11 O 0.5000 0.0000 0.3378
12 O 0.5000 0.0000 0.6622
13 O 0.5000 0.5000 0.1679
14 O 0.5000 0.5000 0.5000
15 O 0.5000 0.5000 0.8321